Diffraction record for Hg4Se. The X-ray diffraction stick pattern is theoretical, not measured: it uses the GGA-PBE geometry in Alexandria and Cu Kα.

Most intense lines, 2θ from 10° to 80°, by intensity:
| 2θ/deg | Rel. int. |
| --- | --- |
| 25.8 | 100 |
| 35.3 | 58 |
| 43.0 | 45 |
| 42.0 | 42 |
| 24.4 | 26 |
| 50.8 | 16 |
| 55.7 | 15 |
| 56.8 | 15 |
| 73.8 | 14 |
| 78.1 | 14 |

Structural model:
```
data_Hg4Se
_cell_length_a 4.2070
_cell_length_b 4.2070
_cell_length_c 10.6614
_cell_angle_alpha 90.00
_cell_angle_beta 90.00
_cell_angle_gamma 120.00
_symmetry_space_group_name_H-M 'P -3 m 1'
_symmetry_Int_Tables_number 164
_symmetry_space_group_name_Hall '-P 3 2"'
loop_
_atom_site_label
_atom_site_type_symbol
_atom_site_fract_x
_atom_site_fract_y
_atom_site_fract_z
Hg1 Hg 0.3333 0.6667 0.1449
Hg2 Hg 0.3333 0.6667 0.4104
Se1 Se 0.0000 0.0000 0.0000
```

Diffraction record for Hg3Se. The X-ray diffraction stick pattern is theoretical, not measured: it uses the GGA-PBE geometry in Alexandria and Cu Kα.

Most intense lines, 2θ from 10° to 80°, by intensity:
| 2θ/deg | Rel. int. |
| --- | --- |
| 34.1 | 100 |
| 26.4 | 29 |
| 29.6 | 28 |
| 40.3 | 20 |
| 52.6 | 19 |
| 23.2 | 16 |
| 71.8 | 15 |
| 44.5 | 14 |
| 45.3 | 13 |
| 61.6 | 12 |

Structural model:
```
data_Hg3Se
_cell_length_a 4.0056
_cell_length_b 4.0685
_cell_length_c 13.4792
_cell_angle_alpha 90.00
_cell_angle_beta 90.00
_cell_angle_gamma 90.00
_symmetry_space_group_name_H-M 'I m m m'
_symmetry_Int_Tables_number 71
_symmetry_space_group_name_Hall '-I 2 2'
loop_
_atom_site_label
_atom_site_type_symbol
_atom_site_fract_x
_atom_site_fract_y
_atom_site_fract_z
Hg1 Hg 0.0000 0.0000 0.0000
Hg2 Hg 0.0000 0.5000 0.2099
Se1 Se 0.0000 0.0000 0.5000
```